1.
Diffraction record for Sm5Er7. The X-ray powder pattern is simulated, not measured: it uses a cell relaxed with GGA-PBE and Cu Kα, 1.54184 Å.
Peak positions follow from Bragg's law for the DFT cell and can differ from measured ones.

Unit cell a=18.5185 b=3.5735 c=13.0736 alpha=90.00 beta=118.20 gamma=90.00
Space group C2/m (No. 12)
Asymmetric unit:
Sm1 0.0000 0.0000 0.0000 (multiplicity 2)
Sm2 0.1656 0.0000 0.4984 (multiplicity 4)
Sm3 0.1948 0.5000 0.7509 (multiplicity 4)
Er1 0.0000 0.5000 0.5000 (multiplicity 2)
Er2 0.0277 0.0000 0.7504 (multiplicity 4)
Er3 0.1376 0.5000 0.2487 (multiplicity 4)
Er4 0.1660 0.5000 0.9975 (multiplicity 4)

The 8 most intense peaks (2θ from 10° to 90°), in order of falling intensity:
index	2θ/deg	I (rel.)
3 1 1	32.9	100.0
6 0 -3	29.9	43.6
0 0 4	31.0	34.6
6 0 1	37.3	24.2
3 1 5	56.4	21.6
0 2 4	61.1	20.3
9 1 -3	51.2	17.2
6 0 -7	49.3	11.0

***

2.
Diffraction record for PrReClO4. The X-ray powder pattern is simulated, not measured: it uses a cell relaxed with GGA-PBE and Cu Kα, 1.54184 Å.
Peak positions follow from Bragg's law for the DFT cell and can differ from measured ones.

Unit cell a=10.7462 b=7.3895 c=7.1395 alpha=90.00 beta=105.12 gamma=90.00
Space group C2/m (No. 12)
Asymmetric unit:
Pr1 0.2187 0.0000 0.1045 (multiplicity 4)
Re1 0.1333 0.5000 0.2807 (multiplicity 4)
Cl1 0.0101 0.0000 0.7659 (multiplicity 4)
O1 0.0360 0.5000 0.7828 (multiplicity 4)
O2 0.1979 0.3252 0.1448 (multiplicity 8)
O3 0.2116 0.5000 0.5296 (multiplicity 4)

The 8 most intense peaks (2θ from 10° to 90°), in order of falling intensity:
index	2θ/deg	I (rel.)
0 2 0	24.1	100.0
1 1 -2	27.8	40.4
3 1 -1	28.4	38.2
2 2 1	34.3	22.6
2 0 0	17.1	18.6
3 1 -2	33.8	18.6
1 1 0	14.7	17.9
3 3 -1	45.1	16.7

***

3.
Diffraction record for TmAgP2Se6. The X-ray powder pattern is simulated, not measured: it uses a cell relaxed with GGA-PBE and Cu Kα, 1.54184 Å.
Peak positions follow from Bragg's law for the DFT cell and can differ from measured ones.

Unit cell a=6.6346 b=6.6346 c=14.8578 alpha=90.00 beta=90.00 gamma=120.00
Space group P-31c (No. 163)
Asymmetric unit:
Tm1 0.0000 0.0000 0.2500 (multiplicity 2)
Ag1 0.3333 0.6667 0.2500 (multiplicity 2)
P1 0.3333 0.6667 0.6735 (multiplicity 4)
Se1 0.0220 0.3421 0.6287 (multiplicity 12)

The 8 most intense peaks (2θ from 10° to 90°), in order of falling intensity:
index	2θ/deg	I (rel.)
1 1 2	29.5	100.0
0 0 2	11.9	62.1
1 1 4	36.3	54.8
3 0 0	47.5	32.2
2 -1 6	45.7	25.9
0 0 8	49.1	18.0
4 -2 2	56.9	14.7
3 0 8	70.6	14.3

***

4.
Diffraction record for MoOsRh2. The X-ray powder pattern is simulated, not measured: it uses a cell relaxed with GGA-PBE and Cu Kα, 1.54184 Å.
Peak positions follow from Bragg's law for the DFT cell and can differ from measured ones.

Unit cell a=4.3957 b=5.5195 c=9.5330 alpha=90.00 beta=90.00 gamma=90.00
Space group Amm2 (No. 38)
Asymmetric unit:
Mo1 0.0000 0.0000 0.0000 (multiplicity 2)
Mo2 0.5000 0.0000 0.3302 (multiplicity 2)
Os1 0.5000 0.2492 0.5838 (multiplicity 4)
Rh1 0.0000 0.0000 0.4988 (multiplicity 2)
Rh2 0.0000 0.2491 0.7486 (multiplicity 4)
Rh3 0.5000 0.0000 0.8315 (multiplicity 2)

The 8 most intense peaks (2θ from 10° to 90°), in order of falling intensity:
index	2θ/deg	I (rel.)
1 0 4	43.1	100.0
0 2 2	37.7	26.1
2 0 0	41.1	25.4
3 0 4	76.3	18.4
2 2 2	57.0	15.7
2 2 6	82.7	13.2
0 2 6	68.1	11.2
1 4 4	84.0	9.7

***

Please write out number 3 again, unchanged.
Diffraction record for TmAgP2Se6. The X-ray powder pattern is simulated, not measured: it uses a cell relaxed with GGA-PBE and Cu Kα, 1.54184 Å.
Peak positions follow from Bragg's law for the DFT cell and can differ from measured ones.

Unit cell a=6.6346 b=6.6346 c=14.8578 alpha=90.00 beta=90.00 gamma=120.00
Space group P-31c (No. 163)
Asymmetric unit:
Tm1 0.0000 0.0000 0.2500 (multiplicity 2)
Ag1 0.3333 0.6667 0.2500 (multiplicity 2)
P1 0.3333 0.6667 0.6735 (multiplicity 4)
Se1 0.0220 0.3421 0.6287 (multiplicity 12)

The 8 most intense peaks (2θ from 10° to 90°), in order of falling intensity:
index	2θ/deg	I (rel.)
1 1 2	29.5	100.0
0 0 2	11.9	62.1
1 1 4	36.3	54.8
3 0 0	47.5	32.2
2 -1 6	45.7	25.9
0 0 8	49.1	18.0
4 -2 2	56.9	14.7
3 0 8	70.6	14.3